# 1
Simulated PXRD pattern of AsH5Cl4 for Cu Kα X-rays, from a crystal structure in Alexandria, relaxed with GGA-PBE.
Peak positions follow from Bragg's law for the DFT cell and can differ from measured ones.

Principal peaks in the range 2θ = 10–90°, by angle:
- 5.346 Å, 16.6 deg, rel. 12
- 4.127 Å, 21.5 deg, rel. 8
- 3.381 Å, 26.4 deg, rel. 59
- 3.267 Å, 27.3 deg, rel. 100
- 2.391 Å, 37.6 deg, rel. 18
- 2.237 Å, 40.3 deg, rel. 7
- 1.929 Å, 47.1 deg, rel. 35
- 1.866 Å, 48.8 deg, rel. 17
- 1.633 Å, 56.3 deg, rel. 10
- 1.501 Å, 61.8 deg, rel. 8
- 1.271 Å, 74.7 deg, rel. 7
- 1.223 Å, 78.1 deg, rel. 7

```
AsH5Cl4
1.0
-5.346 5.346 2.237
5.346 -5.346 2.237
5.346 5.346 -2.237
As H Cl
1 5 4
Cartesian
0.000 0.000 0.000 As
6.287 -1.267 1.633 H
0.000 0.000 1.546 H
4.405 1.267 1.633 H
-1.267 4.405 1.633 H
1.267 6.287 1.633 H
6.341 1.949 0.170 Cl
1.949 4.350 0.170 Cl
3.397 0.995 2.407 Cl
-0.995 3.397 2.407 Cl
```


# 2
Simulated PXRD pattern of NaPaSe2O8 for Cu Kα X-rays, from a crystal structure in Alexandria, relaxed with GGA-PBE.
Peak positions follow from Bragg's law for the DFT cell and can differ from measured ones.

Principal peaks in the range 2θ = 10–90°, by angle:
- 5.118 Å, 17.3 deg, rel. 55
- 4.887 Å, 18.2 deg, rel. 50
- 3.619 Å, 24.6 deg, rel. 100
- 2.908 Å, 30.7 deg, rel. 23
- 2.781 Å, 32.2 deg, rel. 81
- 2.559 Å, 35.1 deg, rel. 21
- 2.444 Å, 36.8 deg, rel. 19
- 1.883 Å, 48.3 deg, rel. 64
- 1.809 Å, 50.4 deg, rel. 18
- 1.618 Å, 56.9 deg, rel. 15
- 1.517 Å, 61.1 deg, rel. 18
- 1.305 Å, 72.4 deg, rel. 17

```
NaPaSe2O8
1.0
-3.619 3.619 3.313
3.619 -3.619 3.313
3.619 3.619 -3.313
Na Pa Se O
1 1 2 8
Cartesian
0.000 0.000 0.000 Na
3.619 0.000 1.657 Pa
0.000 0.000 3.313 Se
0.000 3.619 1.657 Se
2.108 3.619 -1.186 O
1.511 0.000 2.127 O
0.000 2.337 0.576 O
3.619 2.108 1.186 O
0.000 4.900 0.576 O
0.000 1.511 4.499 O
-1.281 3.619 2.737 O
1.281 3.619 2.737 O
```


# 3
Simulated PXRD pattern of La11Cd9Cu4 for Cu Kα X-rays, from a crystal structure in Alexandria, relaxed with GGA-PBE.
Peak positions follow from Bragg's law for the DFT cell and can differ from measured ones.

Principal peaks in the range 2θ = 10–90°, by angle:
- 3.025 Å, 29.5 deg, rel. 7
- 2.930 Å, 30.5 deg, rel. 8
- 2.877 Å, 31.1 deg, rel. 7
- 2.832 Å, 31.6 deg, rel. 13
- 2.695 Å, 33.2 deg, rel. 100
- 2.539 Å, 35.4 deg, rel. 10
- 2.501 Å, 35.9 deg, rel. 8
- 2.478 Å, 36.3 deg, rel. 9
- 1.911 Å, 47.6 deg, rel. 11
- 1.698 Å, 54.0 deg, rel. 7
- 1.558 Å, 59.3 deg, rel. 11
- 1.554 Å, 59.5 deg, rel. 7

```
La11Cd9Cu4
1.0
7.615 -11.410 0.000
7.615 11.410 0.000
0.000 0.000 3.821
La Cd Cu
11 9 4
Cartesian
0.000 0.000 0.000 La
3.686 3.954 0.000 La
7.615 7.693 0.000 La
4.680 0.000 0.000 La
7.615 2.910 0.000 La
3.686 -3.954 0.000 La
11.543 3.954 0.000 La
7.615 -2.910 0.000 La
10.549 0.000 0.000 La
7.615 -7.693 0.000 La
11.543 -3.954 0.000 La
2.255 1.608 1.911 Cd
6.071 5.353 1.911 Cd
2.255 -1.608 1.911 Cd
9.159 5.353 1.911 Cd
7.615 0.000 1.911 Cd
6.071 -5.353 1.911 Cd
12.974 1.608 1.911 Cd
9.159 -5.353 1.911 Cd
12.974 -1.608 1.911 Cd
5.314 2.290 1.911 Cu
5.314 -2.290 1.911 Cu
9.915 2.290 1.911 Cu
9.915 -2.290 1.911 Cu
```


# 4
Simulated PXRD pattern of Ba4As2O for Cu Kα X-rays, from a crystal structure in Alexandria, relaxed with GGA-PBE.
Peak positions follow from Bragg's law for the DFT cell and can differ from measured ones.

Principal peaks in the range 2θ = 10–90°, by angle:
- 8.727 Å, 10.1 deg, rel. 13
- 3.403 Å, 26.2 deg, rel. 100
- 2.906 Å, 30.8 deg, rel. 60
- 2.820 Å, 31.7 deg, rel. 75
- 2.613 Å, 34.3 deg, rel. 67
- 1.943 Å, 46.7 deg, rel. 56
- 1.879 Å, 48.5 deg, rel. 11
- 1.848 Å, 49.3 deg, rel. 24
- 1.624 Å, 56.7 deg, rel. 23
- 1.560 Å, 59.2 deg, rel. 23
- 1.546 Å, 59.8 deg, rel. 24
- 1.192 Å, 80.6 deg, rel. 11

```
Ba4As2O
1.0
5.227 0.000 0.000
0.000 5.227 0.000
0.000 0.000 17.454
Ba As O
8 4 2
Cartesian
0.000 0.000 3.071 Ba
0.000 0.000 14.383 Ba
0.000 2.613 0.000 Ba
0.000 2.613 8.727 Ba
2.613 0.000 0.000 Ba
2.613 0.000 8.727 Ba
2.613 2.613 5.656 Ba
2.613 2.613 11.798 Ba
0.000 0.000 6.358 As
0.000 0.000 11.096 As
2.613 2.613 2.369 As
2.613 2.613 15.085 As
0.000 0.000 0.000 O
2.613 2.613 8.727 O
```


# 5
Simulated PXRD pattern of NaHg4Au for Cu Kα X-rays, from a crystal structure in Alexandria, relaxed with GGA-PBE.
Peak positions follow from Bragg's law for the DFT cell and can differ from measured ones.

Principal peaks in the range 2θ = 10–90°, by angle:
- 6.887 Å, 12.9 deg, rel. 31
- 3.775 Å, 23.6 deg, rel. 25
- 3.605 Å, 24.7 deg, rel. 25
- 2.758 Å, 32.5 deg, rel. 22
- 2.720 Å, 32.9 deg, rel. 24
- 2.612 Å, 34.3 deg, rel. 100
- 2.601 Å, 34.5 deg, rel. 67
- 2.569 Å, 34.9 deg, rel. 76
- 2.537 Å, 35.4 deg, rel. 90
- 2.214 Å, 40.8 deg, rel. 51
- 2.000 Å, 45.3 deg, rel. 37
- 1.365 Å, 68.8 deg, rel. 35

```
NaHg4Au
1.0
7.142 -3.923 0.000
7.142 3.923 0.000
-1.473 0.000 5.364
Na Hg Au
2 8 2
Cartesian
2.813 0.000 0.773 Na
9.998 0.000 4.591 Na
4.672 2.448 2.257 Hg
7.142 2.386 0.000 Hg
8.139 2.448 3.107 Hg
3.722 0.000 3.975 Hg
9.089 0.000 1.389 Hg
4.672 -2.448 2.257 Hg
7.142 -2.386 0.000 Hg
8.139 -2.448 3.107 Hg
5.831 0.000 1.386 Au
6.980 0.000 3.978 Au
```


Number 2 is which compound?
NaPaSe2O8